# K2H7Os
Computed powder diffraction line list, copper Kα. Input: a cell relaxed with PBE.
Lines closer than 0.1° are merged.

The 10 most intense peaks (10° ≤ 2θ ≤ 90°), low angle first:
5.015 Å, 2θ = 17.7°, rel. 73; 4.869 Å, 2θ = 18.2°, rel. 33; 3.077 Å, 2θ = 29.0°, rel. 100; 3.042 Å, 2θ = 29.4°, rel. 59; 2.925 Å, 2θ = 30.6°, rel. 25; 2.839 Å, 2θ = 31.5°, rel. 59; 2.636 Å, 2θ = 34.0°, rel. 18; 2.109 Å, 2θ = 42.9°, rel. 30; 1.670 Å, 2θ = 55.0°, rel. 26; 1.606 Å, 2θ = 57.4°, rel. 20

Structure:
a b c (Å): 6.8883 6.8883 6.8883
angles (deg): 111.11 90.03 129.74
Positions (direct):
K 0.3237 0.0000 0.8237
K 0.3237 0.5000 0.3237
K 0.6763 0.0000 0.1763
K 0.6763 0.5000 0.6763
H 0.0157 0.6044 0.4114
H 0.0730 0.9304 0.1426
H 0.1335 0.1788 0.5453
H 0.1335 0.5883 0.9547
H 0.2877 0.9304 0.3574
H 0.3070 0.3956 0.9114
H 0.3356 0.5856 0.7500
H 0.6644 0.4144 0.2500
H 0.6930 0.6044 0.0886
H 0.7123 0.0696 0.6426
H 0.8665 0.4117 0.0453
H 0.8665 0.8212 0.4547
H 0.9270 0.0696 0.8574
H 0.9843 0.3956 0.5886
Os 0.0509 0.3009 0.7500
Os 0.9491 0.6991 0.2500